For MnH20C2S2N6O12, a cell relaxed with GGA+U gives the theoretical PXRD pattern in this record (CuKα).
Lines closer than 0.1° are merged.

Peak list (6 most intense, 2θ = 10–90°, by angle)
5.271 Å, 16.82°, I = 100; 4.949 Å, 17.92°, I = 95; 4.804 Å, 18.47°, I = 68; 3.082 Å, 28.97°, I = 64; 2.982 Å, 29.97°, I = 85; 2.935 Å, 30.46°, I = 76

Cell and atoms:
```
43
Lattice="6.444 0.000 0.000 2.168 6.103 0.000 1.055 -0.306 10.084" Properties=species:S:1:pos:R:3 pbc="T T T"
Mn 0.000 0.000 0.000
H 1.476 2.230 1.122
H 3.303 3.199 8.954
H 1.622 0.168 3.315
H 2.426 1.712 3.234
H 4.419 5.767 6.774
H 3.977 5.022 5.225
H 3.214 2.679 5.105
H 3.392 1.804 6.616
H 3.586 0.292 8.788
H 5.598 4.795 8.851
H 4.070 1.002 1.233
H 6.082 5.506 1.296
H 6.276 3.994 3.467
H 6.454 3.118 4.979
H 5.691 0.775 4.859
H 5.249 0.030 3.310
H 7.242 4.086 6.850
H 8.046 5.630 6.769
H 6.365 2.598 1.130
H 8.192 3.568 8.962
C 2.378 0.854 5.100
C 7.290 4.943 4.984
S 3.798 3.846 2.181
S 5.870 1.951 7.903
N 2.071 0.942 3.800
N 4.271 5.834 5.768
N 2.926 1.909 5.712
N 6.742 3.888 4.372
N 5.397 -0.037 4.316
N 7.597 4.856 6.283
O 2.655 3.926 9.123
O 3.090 5.057 1.670
O 3.679 3.823 3.661
O 5.101 5.652 8.858
O 3.199 2.601 1.601
O 4.419 1.861 8.293
O 5.249 3.937 1.791
O 6.469 3.197 8.483
O 4.567 0.145 1.226
O 5.989 1.974 6.423
O 6.578 0.741 8.414
O 7.013 1.872 0.961
```